Record 1
Theoretical PXRD pattern of Ni2Ir5Rh4 for Cu Kα, 1.54184 Å, from DFT lattice parameters and positions (GGA-PBE).

The 12 most intense peaks (10° ≤ 2θ ≤ 90°), in order of rising 2θ:
| 2θ (°) | intensity |
| --- | --- |
| 10.22 | 23 |
| 13.37 | 32 |
| 33.23 | 36 |
| 35.00 | 28 |
| 39.38 | 29 |
| 41.14 | 58 |
| 41.32 | 79 |
| 42.38 | 46 |
| 42.83 | 75 |
| 43.35 | 100 |
| 45.17 | 44 |
| 85.45 | 23 |

Structural model:
a = 6.6475 Å, b = 2.6963 Å, c = 8.6863 Å
α = 90.00°, β = 95.01°, γ = 90.00°
Element x y z (fractional)
Ni: 0.0605 0.0000 0.1316
Ni: 0.9395 0.0000 0.8684
Ir: 0.1922 0.0000 0.6674
Ir: 0.4343 0.0000 0.2002
Ir: 0.5000 0.0000 0.5000
Ir: 0.5657 0.0000 0.7998
Ir: 0.8078 0.0000 0.3326
Rh: 0.1606 0.5000 0.3909
Rh: 0.2865 0.5000 0.9422
Rh: 0.7135 0.5000 0.0578
Rh: 0.8394 0.5000 0.6091

=====

Record 2
Theoretical PXRD pattern of TaNiIrRh for Cu Kα, 1.54184 Å, from DFT lattice parameters and positions (GGA-PBE).

The 12 most intense peaks (10° ≤ 2θ ≤ 90°), in order of rising 2θ:
| 2θ (°) | intensity |
| --- | --- |
| 22.79 | 15 |
| 33.16 | 12 |
| 40.62 | 100 |
| 46.43 | 17 |
| 46.55 | 17 |
| 48.76 | 15 |
| 67.85 | 11 |
| 69.65 | 20 |
| 82.09 | 13 |
| 82.26 | 13 |
| 85.55 | 12 |
| 87.92 | 11 |

Structural model:
a = 3.7355 Å, b = 3.9023 Å, c = 3.9117 Å
α = 90.00°, β = 90.00°, γ = 90.00°
Element x y z (fractional)
Ta: 0.0000 0.0000 0.0000
Ni: 0.0000 0.5000 0.5000
Ir: 0.5000 0.0000 0.5000
Rh: 0.5000 0.5000 0.0000

=====

Record 3
Theoretical PXRD pattern of NiIrRhW for Cu Kα, 1.54184 Å, from DFT lattice parameters and positions (GGA-PBE).

The 12 most intense peaks (10° ≤ 2θ ≤ 90°), in order of rising 2θ:
| 2θ (°) | intensity |
| --- | --- |
| 25.94 | 22 |
| 40.94 | 100 |
| 43.36 | 6 |
| 46.92 | 34 |
| 49.03 | 15 |
| 54.39 | 6 |
| 65.79 | 4 |
| 68.53 | 11 |
| 70.21 | 20 |
| 83.03 | 26 |
| 86.18 | 14 |
| 88.76 | 11 |

Structural model:
a = 4.6159 Å, b = 4.6159 Å, c = 4.6159 Å
α = 130.39°, β = 130.39°, γ = 72.78°
Element x y z (fractional)
Ni: 0.0000 0.0000 0.0000
Ir: 0.2500 0.7500 0.5000
Rh: 0.7500 0.2500 0.5000
W: 0.5000 0.5000 0.0000

=====

Record 4
Theoretical PXRD pattern of NiIrRu4 for Cu Kα, 1.54184 Å, from DFT lattice parameters and positions (GGA-PBE).

The 12 most intense peaks (10° ≤ 2θ ≤ 90°), in order of rising 2θ:
| 2θ (°) | intensity |
| --- | --- |
| 12.63 | 18 |
| 38.21 | 27 |
| 38.55 | 13 |
| 42.29 | 37 |
| 43.89 | 100 |
| 44.19 | 48 |
| 58.30 | 15 |
| 69.52 | 16 |
| 78.46 | 19 |
| 84.23 | 10 |
| 84.85 | 19 |
| 85.54 | 15 |

Structural model:
a = 4.2742 Å, b = 7.1385 Å, c = 7.1385 Å
α = 22.02°, β = 90.00°, γ = 90.00°
Element x y z (fractional)
Ni: 0.0000 0.0000 0.0000
Ir: 0.5000 0.7787 0.7787
Ru: 0.0000 0.3349 0.3349
Ru: 0.0000 0.6653 0.6653
Ru: 0.5000 0.1068 0.1068
Ru: 0.5000 0.4484 0.4484

=====

Record 5
Theoretical PXRD pattern of NiIr3Ru2 for Cu Kα, 1.54184 Å, from DFT lattice parameters and positions (GGA-PBE).

The 12 most intense peaks (10° ≤ 2θ ≤ 90°), in order of rising 2θ:
| 2θ (°) | intensity |
| --- | --- |
| 20.19 | 24 |
| 39.18 | 9 |
| 41.01 | 100 |
| 41.08 | 33 |
| 47.71 | 43 |
| 47.79 | 21 |
| 69.75 | 28 |
| 69.92 | 14 |
| 84.16 | 13 |
| 84.26 | 17 |
| 84.36 | 17 |
| 89.02 | 8 |

Structural model:
a = 4.6632 Å, b = 4.6641 Å, c = 4.6661 Å
α = 99.71°, β = 99.55°, γ = 119.83°
Element x y z (fractional)
Ni: 0.0000 0.0000 0.0000
Ir: 0.1661 0.8339 0.5006
Ir: 0.5000 0.5000 0.5000
Ir: 0.8339 0.1661 0.4994
Ru: 0.3313 0.6690 0.9998
Ru: 0.6687 0.3310 0.0002

=====

Record 6
Theoretical PXRD pattern of Ni2Ir6Ru3 for Cu Kα, 1.54184 Å, from DFT lattice parameters and positions (GGA-PBE).

The 12 most intense peaks (10° ≤ 2θ ≤ 90°), in order of rising 2θ:
| 2θ (°) | intensity |
| --- | --- |
| 40.91 | 51 |
| 41.04 | 100 |
| 41.15 | 49 |
| 47.55 | 33 |
| 47.76 | 33 |
| 47.92 | 32 |
| 69.67 | 31 |
| 83.90 | 13 |
| 84.14 | 19 |
| 84.29 | 13 |
| 84.45 | 12 |
| 84.58 | 13 |

Structural model:
a = 4.6851 Å, b = 5.9999 Å, c = 6.0124 Å
α = 107.18°, β = 104.99°, γ = 97.39°
Element x y z (fractional)
Ni: 0.2317 0.0484 0.4130
Ni: 0.7683 0.9516 0.5870
Ir: 0.0447 0.4077 0.6843
Ir: 0.1371 0.2263 0.0495
Ir: 0.3172 0.8662 0.7672
Ir: 0.6828 0.1338 0.2328
Ir: 0.8629 0.7737 0.9505
Ir: 0.9553 0.5923 0.3157
Ru: 0.4116 0.6827 0.1321
Ru: 0.5000 0.5000 0.5000
Ru: 0.5884 0.3173 0.8679